Starting from a cell relaxed with PBE, the powder XRD pattern of Cs2RhF7 was calculated for Cu Kα, 1.54184 Å.
Peak positions follow from Bragg's law for the DFT cell and can differ from measured ones.

The 10 most intense peaks (15 to 90 degrees two-theta), in order of falling intensity:
two_theta	I/Imax	h k l
26.90	100	2 2 0
47.51	37	4 2 2
38.40	35	4 0 0
16.38	25	1 1 1
75.95	22	6 4 2
62.67	21	6 2 0
55.44	20	4 4 0
33.10	17	2 2 2
88.48	10	6 6 0
18.93	6	2 0 0

Crystal structure
Unit cell a=9.3759 b=9.3759 c=9.3759 alpha=90.00 beta=90.00 gamma=90.00
Space group Fm-3m (No. 225)
Unique sites:
Cs: 0.2500 0.2500 0.2500
Rh: 0.0000 0.0000 0.0000
F: 0.0000 0.0000 0.2060
F: 0.0000 0.0000 0.5000

***

Starting from a cell relaxed with PBE, the powder XRD pattern of TlCu4Ag3Br12 was calculated for Cu Kα, 1.54184 Å.
Peak positions follow from Bragg's law for the DFT cell and can differ from measured ones.

The 10 most intense peaks (15 to 90 degrees two-theta), in order of falling intensity:
two_theta	I/Imax	h k l
21.83	100	2 0 2
30.85	64	3 1 2
20.68	40	2 1 1
45.76	38	5 2 0
27.24	31	1 3 1
54.59	30	0 7 2
40.05	27	5 0 2
25.17	26	1 2 2
42.58	22	1 3 4
70.66	21	5 2 6

Crystal structure
Unit cell a=14.2995 b=14.2995 c=10.8050 alpha=90.00 beta=90.00 gamma=120.00
Space group R32 (No. 155, hexagonal axes)
Unique sites:
Tl: 0.0000 0.0000 0.0000
Cu: 0.0000 0.0000 0.5000
Cu: 0.0000 0.4223 0.5000
Ag: 0.0000 0.5670 0.0000
Br: 0.0000 0.5875 0.5000
Br: 0.0000 0.8369 0.5000
Br: 0.0487 0.2074 0.1924

***

Starting from a cell relaxed with PBE, the powder XRD pattern of Sm6P2S3 was calculated for Cu Kα, 1.54184 Å.
Peak positions follow from Bragg's law for the DFT cell and can differ from measured ones.

The 10 most intense peaks (15 to 90 degrees two-theta), in order of falling intensity:
two_theta	I/Imax	h k l
29.19	100	1 1 1
37.18	32	1 1 2
26.06	28	0 0 2
45.94	26	3 0 0
47.96	26	2 -1 3
53.59	24	0 0 4
74.72	20	2 -1 5
55.36	17	4 -2 1
73.22	14	3 0 4
86.54	10	5 -1 3

Crystal structure
Unit cell a=6.8428 b=6.8428 c=6.8385 alpha=90.00 beta=90.00 gamma=120.00
Space group P-31m (No. 162)
Unique sites:
Sm: 0.0000 0.3356 0.2561
P: 0.3333 0.6667 0.5000
S: 0.0000 0.0000 0.5000
S: 0.3333 0.6667 0.0000

***

Starting from a cell relaxed with PBE, the powder XRD pattern of Sc2Be2As was calculated for Cu Kα, 1.54184 Å.
Peak positions follow from Bragg's law for the DFT cell and can differ from measured ones.

The 10 most intense peaks (15 to 90 degrees two-theta), in order of falling intensity:
two_theta	I/Imax	h k l
36.72	100	2 0 1
30.27	92	1 1 1
39.60	57	2 1 1
46.40	51	3 1 0
20.30	34	1 1 0
66.88	33	3 1 2
32.35	31	2 1 0
45.33	27	0 0 2
68.47	24	3 3 1
41.26	24	2 2 0

Crystal structure
Unit cell a=6.1881 b=6.1881 c=4.0012 alpha=90.00 beta=90.00 gamma=90.00
Space group P4/mbm (No. 127)
Unique sites:
Sc: 0.1690 0.3310 0.0000
Be: 0.1211 0.6211 0.5000
As: 0.0000 0.0000 0.5000

***

Starting from a cell relaxed with PBE, the powder XRD pattern of Nd6TlHg was calculated for Cu Kα, 1.54184 Å.
Peak positions follow from Bragg's law for the DFT cell and can differ from measured ones.

The 10 most intense peaks (15 to 90 degrees two-theta), in order of falling intensity:
two_theta	I/Imax	h k l
31.17	100	1 1 2
36.10	34	2 0 0
61.87	28	3 1 2
52.09	24	2 0 4
36.25	17	0 0 4
62.06	14	1 1 6
65.01	12	2 2 4
51.98	12	2 2 0
85.15	12	3 1 6
87.76	11	4 2 0

Crystal structure
Unit cell a=4.9759 b=4.9759 c=9.9136 alpha=90.00 beta=90.00 gamma=90.00
Space group P4/mmm (No. 123)
Unique sites:
Nd: 0.0000 0.0000 0.0000
Nd: 0.0000 0.0000 0.5000
Nd: 0.0000 0.5000 0.2479
Tl: 0.5000 0.5000 0.5000
Hg: 0.5000 0.5000 0.0000

***

Starting from a cell relaxed with PBE, the powder XRD pattern of PmNdC was calculated for Cu Kα, 1.54184 Å.
Peak positions follow from Bragg's law for the DFT cell and can differ from measured ones.

The 10 most intense peaks (15 to 90 degrees two-theta), in order of falling intensity:
two_theta	I/Imax	h k l
29.53	100	1 1 -1
33.21	77	1 1 1
26.97	50	0 0 2
29.22	49	2 0 0
49.51	42	0 2 0
33.82	39	2 0 -2
46.69	23	1 1 -3
58.50	14	2 2 0
42.41	14	1 1 2
57.88	14	3 1 -3

Crystal structure
Unit cell a=6.3749 b=3.6843 c=6.8952 alpha=90.00 beta=106.51 gamma=90.00
Space group Cm (No. 8)
Unique sites:
Pm: 0.0000 0.0000 0.0000
Nd: 0.4643 0.0000 0.4258
C: 0.2310 0.5000 0.2088

***

Starting from a cell relaxed with PBE, the powder XRD pattern of ZnCu2Ir was calculated for Cu Kα, 1.54184 Å.
Peak positions follow from Bragg's law for the DFT cell and can differ from measured ones.

The 10 most intense peaks (15 to 90 degrees two-theta), in order of falling intensity:
two_theta	I/Imax	h k l
43.51	100	1 1 1
44.19	96	3 1 -1
42.37	65	4 0 0
38.14	53	1 1 -1
20.82	34	2 0 0
45.38	34	0 0 2
40.58	33	2 0 -2
46.68	31	4 0 -2
22.24	30	0 0 1
22.85	28	2 0 -1

Crystal structure
Unit cell a=9.4979 b=2.7830 c=4.4486 alpha=90.00 beta=116.04 gamma=90.00
Space group Cm (No. 8)
Unique sites:
Zn: 0.0000 0.0000 0.0000
Cu: 0.2488 0.5000 0.3893
Cu: 0.4956 0.0000 0.4929
Ir: 0.2473 0.0000 0.8867

***

Starting from a cell relaxed with PBE, the powder XRD pattern of Cs2TaCl2F4 was calculated for Cu Kα, 1.54184 Å.
Peak positions follow from Bragg's law for the DFT cell and can differ from measured ones.

The 10 most intense peaks (15 to 90 degrees two-theta), in order of falling intensity:
two_theta	I/Imax	h k l
21.89	100	2 0 1
24.66	37	3 1 0
34.83	28	2 2 1
31.50	23	4 0 -1
26.74	23	0 2 0
36.61	22	1 1 2
41.80	19	4 2 -1
44.62	15	2 2 -2
44.46	12	1 3 -1
22.43	12	1 1 1

Crystal structure
Unit cell a=12.8993 b=6.6669 c=5.4633 alpha=90.00 beta=93.05 gamma=90.00
Space group C2/m (No. 12)
Unique sites:
Cs: 0.1440 0.0000 0.1515
Ta: 0.0000 0.5000 0.5000
Cl: 0.1753 0.5000 0.3364
F: 0.0448 0.2782 0.7237